MnZn6Ga: computed powder diffractogram (a wavelength of 1.5418 Å), based on a structure optimized by DFT (GGA-PBE).

```
data_MnZn6Ga
_space_group_name_H-M_alt 'A m m 2'
_space_group_IT_number 38
_space_group_name_Hall 'A 2 -2'
_cell_length_a 3.8721
_cell_length_b 7.7226
_cell_length_c 7.9402
_cell_angle_alpha 90.00
_cell_angle_beta 90.00
_cell_angle_gamma 90.00
loop_
_atom_site_label
_atom_site_type_symbol
_atom_site_fract_x
_atom_site_fract_y
_atom_site_fract_z
_atom_site_occupancy
Mn1 Mn 0.0000 0.0000 0.0000 1
Zn1 Zn 0.0000 0.0000 0.5054 1
Zn2 Zn 0.0000 0.2472 0.7485 1
Zn3 Zn 0.5000 0.0000 0.7589 1
Zn4 Zn 0.5000 0.2475 0.4934 1
Ga1 Ga 0.5000 0.0000 0.2300 1
```

Top 6 peaks for 2θ = 10–80°, low angle first:
index, two_theta, I/Imax
1 2 2, 40.04, 100
0 0 4, 45.71, 16
2 0 0, 46.93, 16
0 4 0, 47.07, 16
2 0 4, 67.59, 9
2 4 0, 68.65, 9



Ca2HgTe2: computed powder diffractogram (a wavelength of 1.5418 Å), based on a structure optimized by DFT (GGA-PBE).

```
data_Ca2HgTe2
_space_group_name_H-M_alt 'I 4/m m m'
_space_group_IT_number 139
_space_group_name_Hall '-I 4 2'
_cell_length_a 5.6431
_cell_length_b 5.6431
_cell_length_c 13.2040
_cell_angle_alpha 90.00
_cell_angle_beta 90.00
_cell_angle_gamma 90.00
loop_
_atom_site_label
_atom_site_type_symbol
_atom_site_fract_x
_atom_site_fract_y
_atom_site_fract_z
_atom_site_occupancy
Ca1 Ca 0.0000 0.5000 0.2500 1
Hg1 Hg 0.0000 0.0000 0.0000 1
Te1 Te 0.0000 0.0000 0.3434 1
```

Top 6 peaks for 2θ = 10–80°, low angle first:
index, two_theta, I/Imax
1 1 0, 22.28, 46
1 0 3, 25.67, 100
1 1 2, 26.09, 18
2 0 0, 31.71, 42
2 1 3, 41.24, 57
1 1 6, 47.16, 26



Zr2InTcH: computed powder diffractogram (a wavelength of 1.5418 Å), based on a structure optimized by DFT (GGA-PBE).

```
data_Zr2InTcH
_space_group_name_H-M_alt 'P 4/m m m'
_space_group_IT_number 123
_space_group_name_Hall '-P 4 2'
_cell_length_a 4.6085
_cell_length_b 4.6085
_cell_length_c 3.8345
_cell_angle_alpha 90.00
_cell_angle_beta 90.00
_cell_angle_gamma 90.00
loop_
_atom_site_label
_atom_site_type_symbol
_atom_site_fract_x
_atom_site_fract_y
_atom_site_fract_z
_atom_site_occupancy
Zr1 Zr 0.0000 0.5000 0.0000 1
In1 In 0.0000 0.0000 0.5000 1
Tc1 Tc 0.5000 0.5000 0.5000 1
H1 H 0.5000 0.5000 0.0000 1
```

Top 6 peaks for 2θ = 10–80°, low angle first:
index, two_theta, I/Imax
1 1 1, 36.17, 100
2 0 0, 39.09, 41
0 0 2, 47.42, 12
2 2 0, 56.48, 13
2 0 2, 63.08, 19
3 1 1, 68.93, 29



Li3PbO3: computed powder diffractogram (a wavelength of 1.5418 Å), based on a structure optimized by DFT (GGA-PBE).

```
data_Li3PbO3
_space_group_name_H-M_alt 'C m c m'
_space_group_IT_number 63
_space_group_name_Hall '-C 2c 2'
_cell_length_a 7.5394
_cell_length_b 13.0687
_cell_length_c 3.9508
_cell_angle_alpha 90.00
_cell_angle_beta 90.00
_cell_angle_gamma 90.00
loop_
_atom_site_label
_atom_site_type_symbol
_atom_site_fract_x
_atom_site_fract_y
_atom_site_fract_z
_atom_site_occupancy
Li1 Li 0.0000 0.1394 0.2500 1
Li2 Li 0.2099 0.0695 0.7500 1
Pb1 Pb 0.0000 0.3331 0.7500 1
O1 O 0.0000 0.1678 0.7500 1
O2 O 0.2476 0.4162 0.7500 1
```

Top 6 peaks for 2θ = 10–80°, low angle first:
index, two_theta, I/Imax
0 2 0, 13.56, 47
2 0 0, 23.59, 60
1 1 1, 26.36, 100
0 4 1, 35.67, 27
2 4 1, 43.21, 51
1 7 1, 55.83, 26



Dy2MgAl2Ir5: computed powder diffractogram (a wavelength of 1.5418 Å), based on a structure optimized by DFT (GGA-PBE).

```
data_Dy2MgAl2Ir5
_space_group_name_H-M_alt 'P 4/m b m'
_space_group_IT_number 127
_space_group_name_Hall '-P 4 2ab'
_cell_length_a 9.9237
_cell_length_b 9.9237
_cell_length_c 3.4764
_cell_angle_alpha 90.00
_cell_angle_beta 90.00
_cell_angle_gamma 90.00
loop_
_atom_site_label
_atom_site_type_symbol
_atom_site_fract_x
_atom_site_fract_y
_atom_site_fract_z
_atom_site_occupancy
Dy1 Dy 0.1751 0.3249 0.0000 1
Mg1 Mg 0.0000 0.0000 0.0000 1
Al1 Al 0.1242 0.6242 0.0000 1
Ir1 Ir 0.0000 0.5000 0.5000 1
Ir2 Ir 0.0654 0.7924 0.5000 1
```

Top 6 peaks for 2θ = 10–80°, low angle first:
index, two_theta, I/Imax
2 1 1, 32.72, 64
4 1 0, 37.36, 90
3 3 0, 38.49, 33
3 1 1, 38.65, 100
3 2 1, 41.86, 46
4 1 2, 66.33, 34



PmHo3C8: computed powder diffractogram (a wavelength of 1.5418 Å), based on a structure optimized by DFT (GGA-PBE).

```
data_PmHo3C8
_space_group_name_H-M_alt 'F m m 2'
_space_group_IT_number 42
_space_group_name_Hall 'F 2 -2'
_cell_length_a 9.3593
_cell_length_b 9.7081
_cell_length_c 8.0958
_cell_angle_alpha 90.00
_cell_angle_beta 90.00
_cell_angle_gamma 90.00
loop_
_atom_site_label
_atom_site_type_symbol
_atom_site_fract_x
_atom_site_fract_y
_atom_site_fract_z
_atom_site_occupancy
Pm1 Pm 0.0000 0.0000 0.0000 1
Ho1 Ho 0.0000 0.0000 0.4944 1
Ho2 Ho 0.2500 0.2500 0.2710 1
C1 C 0.0000 0.1691 0.2552 1
C2 C 0.0000 0.2483 0.6278 1
C3 C 0.1696 0.0000 0.7299 1
C4 C 0.2431 0.0000 0.3543 1
```

Top 6 peaks for 2θ = 10–80°, low angle first:
index, two_theta, I/Imax
2 2 0, 26.46, 100
0 2 2, 28.72, 95
2 0 2, 29.17, 97
2 4 2, 47.83, 54
4 2 2, 48.71, 51
2 2 4, 52.76, 37



HoZr5Sc: computed powder diffractogram (a wavelength of 1.5418 Å), based on a structure optimized by DFT (GGA-PBE).

```
data_HoZr5Sc
_space_group_name_H-M_alt 'C 1 2/c 1'
_space_group_IT_number 15
_space_group_name_Hall '-C 2yc'
_cell_length_a 10.1826
_cell_length_b 11.7811
_cell_length_c 6.1798
_cell_angle_alpha 90.00
_cell_angle_beta 108.46
_cell_angle_gamma 90.00
loop_
_atom_site_label
_atom_site_type_symbol
_atom_site_fract_x
_atom_site_fract_y
_atom_site_fract_z
_atom_site_occupancy
Ho1 Ho 0.0000 0.1572 0.2500 1
Zr1 Zr 0.0000 0.1054 0.7500 1
Zr2 Zr 0.0255 0.3726 0.5359 1
Zr3 Zr 0.2461 0.4712 0.3673 1
Sc1 Sc 0.2500 0.2500 0.0000 1
```

Top 6 peaks for 2θ = 10–80°, low angle first:
index, two_theta, I/Imax
2 0 0, 18.37, 34
3 1 -2, 35.10, 77
1 1 2, 35.54, 73
2 4 0, 35.71, 100
1 3 -2, 37.02, 70
4 0 0, 37.24, 58



Li3VCl6: computed powder diffractogram (a wavelength of 1.5418 Å), based on a structure optimized by DFT (GGA-PBE).

```
data_Li3VCl6
_space_group_name_H-M_alt 'P 1 21/c 1'
_space_group_IT_number 14
_space_group_name_Hall '-P 2ybc'
_cell_length_a 6.3696
_cell_length_b 6.5021
_cell_length_c 11.5335
_cell_angle_alpha 90.00
_cell_angle_beta 123.50
_cell_angle_gamma 90.00
loop_
_atom_site_label
_atom_site_type_symbol
_atom_site_fract_x
_atom_site_fract_y
_atom_site_fract_z
_atom_site_occupancy
Li1 Li 0.0000 0.0000 0.0000 1
Li2 Li 0.2156 0.0421 0.7245 1
V1 V 0.5000 0.0000 0.5000 1
Cl1 Cl 0.1431 0.0855 0.2698 1
Cl2 Cl 0.2320 0.6755 0.0529 1
Cl3 Cl 0.4301 0.1916 0.0844 1
```

Top 6 peaks for 2θ = 10–80°, low angle first:
index, two_theta, I/Imax
0 1 1, 16.46, 42
1 0 -2, 16.69, 31
1 0 2, 31.25, 100
2 1 -3, 32.67, 28
1 1 2, 34.21, 29
1 2 -3, 36.21, 29



ReTcBiH2: computed powder diffractogram (a wavelength of 1.5418 Å), based on a structure optimized by DFT (GGA-PBE).

```
data_ReTcBiH2
_space_group_name_H-M_alt 'P 4/m m m'
_space_group_IT_number 123
_space_group_name_Hall '-P 4 2'
_cell_length_a 3.6602
_cell_length_b 3.6602
_cell_length_c 5.8625
_cell_angle_alpha 90.00
_cell_angle_beta 90.00
_cell_angle_gamma 90.00
loop_
_atom_site_label
_atom_site_type_symbol
_atom_site_fract_x
_atom_site_fract_y
_atom_site_fract_z
_atom_site_occupancy
Re1 Re 0.0000 0.0000 0.0000 1
Tc1 Tc 0.5000 0.5000 0.0000 1
Bi1 Bi 0.0000 0.0000 0.5000 1
H1 H 0.0000 0.5000 0.5000 1
```

Top 6 peaks for 2θ = 10–80°, low angle first:
index, two_theta, I/Imax
1 0 0, 24.32, 85
0 0 2, 30.50, 72
1 1 0, 34.66, 100
1 0 2, 39.38, 50
1 1 2, 46.83, 87
2 0 2, 59.55, 43



BaTc2PN2: computed powder diffractogram (a wavelength of 1.5418 Å), based on a structure optimized by DFT (GGA-PBE).

```
data_BaTc2PN2
_space_group_name_H-M_alt 'P 1 21/m 1'
_space_group_IT_number 11
_space_group_name_Hall '-P 2yb'
_cell_length_a 6.7184
_cell_length_b 5.3122
_cell_length_c 7.4069
_cell_angle_alpha 90.00
_cell_angle_beta 110.25
_cell_angle_gamma 90.00
loop_
_atom_site_label
_atom_site_type_symbol
_atom_site_fract_x
_atom_site_fract_y
_atom_site_fract_z
_atom_site_occupancy
Ba1 Ba 0.1688 0.2500 0.3121 1
Tc1 Tc 0.3691 0.0002 0.8053 1
P1 P 0.3131 0.7500 0.0550 1
N1 N 0.1542 0.2500 0.7040 1
N2 N 0.4138 0.7500 0.6389 1
```

Top 6 peaks for 2θ = 10–80°, low angle first:
index, two_theta, I/Imax
1 0 -1, 15.37, 70
0 1 1, 21.05, 53
1 1 -1, 22.76, 51
0 0 2, 25.64, 81
2 0 -1, 26.71, 100
1 2 -1, 37.27, 68



Ba6MgNb2IrCl2O12: computed powder diffractogram (a wavelength of 1.5418 Å), based on a structure optimized by DFT (GGA-PBE).

```
data_Ba6MgNb2IrCl2O12
_space_group_name_H-M_alt 'P 3 m 1'
_space_group_IT_number 156
_space_group_name_Hall 'P 3 -2"'
_cell_length_a 5.9763
_cell_length_b 5.9763
_cell_length_c 15.8405
_cell_angle_alpha 90.00
_cell_angle_beta 90.00
_cell_angle_gamma 120.00
loop_
_atom_site_label
_atom_site_type_symbol
_atom_site_fract_x
_atom_site_fract_y
_atom_site_fract_z
_atom_site_occupancy
Ba1 Ba 0.0000 0.0000 0.0000 1
Ba2 Ba 0.0000 0.0000 0.2384 1
Ba3 Ba 0.0000 0.0000 0.6063 1
Ba4 Ba 0.3333 0.6667 0.1262 1
Ba5 Ba 0.3333 0.6667 0.4262 1
Ba6 Ba 0.3333 0.6667 0.8564 1
Mg1 Mg 0.0000 0.0000 0.4224 1
Nb1 Nb 0.6667 0.3333 0.0311 1
Nb2 Nb 0.6667 0.3333 0.3936 1
Ir1 Ir 0.6667 0.3333 0.2169 1
Cl1 Cl 0.0000 0.0000 0.8019 1
Cl2 Cl 0.3333 0.6667 0.6464 1
O1 O 0.3398 0.1699 0.4664 1
O2 O 0.3623 0.1811 0.1263 1
O3 O 0.5023 0.0046 0.9751 1
O4 O 0.5148 0.0296 0.3043 1
```

Top 6 peaks for 2θ = 10–80°, low angle first:
index, two_theta, I/Imax
0 1 1, 18.03, 34
1 0 3, 24.08, 32
0 1 4, 28.38, 32
1 1 0, 29.90, 100
0 2 3, 38.75, 23
1 1 5, 41.54, 39



CoTcB: computed powder diffractogram (a wavelength of 1.5418 Å), based on a structure optimized by DFT (GGA-PBE).

```
data_CoTcB
_space_group_name_H-M_alt 'P m m a'
_space_group_IT_number 51
_space_group_name_Hall '-P 2a 2a'
_cell_length_a 9.5891
_cell_length_b 3.3929
_cell_length_c 5.5403
_cell_angle_alpha 90.00
_cell_angle_beta 90.00
_cell_angle_gamma 90.00
loop_
_atom_site_label
_atom_site_type_symbol
_atom_site_fract_x
_atom_site_fract_y
_atom_site_fract_z
_atom_site_occupancy
Co1 Co 0.1202 0.0000 0.0673 1
Co2 Co 0.2500 0.0000 0.7008 1
Tc1 Tc 0.0435 0.5000 0.7321 1
Tc2 Tc 0.2500 0.5000 0.3601 1
B1 B 0.0901 0.0000 0.4465 1
B2 B 0.2500 0.5000 0.9513 1
```

Top 6 peaks for 2θ = 10–80°, low angle first:
index, two_theta, I/Imax
0 0 2, 32.33, 33
3 1 1, 42.12, 100
1 1 2, 43.21, 32
4 1 0, 46.37, 45
4 0 2, 50.33, 32
7 1 1, 76.99, 42